Record 1
Cs3TeH: computed powder X-ray diffraction pattern (Cu Ka), based on DFT lattice parameters and positions (PBE).
Lines closer than 0.1° are merged.

Structure:
a b c (Å): 8.369 8.369 6.823
angles (deg): 90.00 90.00 120.00
Element x y z (fractional)
Cs 0.149 0.805 0.250
Cs 0.195 0.344 0.250
Cs 0.344 0.149 0.750
Cs 0.656 0.851 0.250
Cs 0.805 0.656 0.750
Cs 0.851 0.195 0.750
Te 0.333 0.667 0.750
Te 0.667 0.333 0.250
H 0.000 0.000 0.000
H 0.000 0.000 0.500

Largest 12 diffraction maxima, low angle first, 2θ from 10° to 90°:
- 24.57 deg, 3.624 Å, I 22.5
- 26.12 deg, 3.411 Å, I 27.3
- 27.88 deg, 3.200 Å, I 100.0
- 36.16 deg, 2.484 Å, I 16.6
- 43.24 deg, 2.092 Å, I 18.1
- 47.18 deg, 1.926 Å, I 24.7
- 51.22 deg, 1.784 Å, I 21.8
- 52.24 deg, 1.751 Å, I 14.7
- 65.91 deg, 1.417 Å, I 7.6
- 70.07 deg, 1.343 Å, I 10.9
- 71.34 deg, 1.322 Å, I 8.2
- 82.15 deg, 1.173 Å, I 7.3

Record 2
PrAs2PbO8: computed powder X-ray diffraction pattern (Cu Ka), based on DFT lattice parameters and positions (PBE).
Lines closer than 0.1° are merged.

Structure:
a b c (Å): 5.778 5.778 7.514
angles (deg): 90.00 90.00 120.00
Element x y z (fractional)
Pr 0.000 0.000 0.000
As 0.333 0.667 0.291
As 0.667 0.333 0.709
Pb 0.000 0.000 0.500
O 0.170 0.342 0.218
O 0.172 0.830 0.218
O 0.333 0.667 0.520
O 0.342 0.172 0.782
O 0.658 0.828 0.218
O 0.667 0.333 0.480
O 0.828 0.170 0.782
O 0.830 0.658 0.782

Largest 12 diffraction maxima, low angle first, 2θ from 10° to 90°:
- 17.72 deg, 5.004 Å, I 80.0
- 21.33 deg, 4.165 Å, I 39.8
- 29.73 deg, 3.005 Å, I 100.0
- 30.95 deg, 2.889 Å, I 76.1
- 39.34 deg, 2.290 Å, I 23.8
- 43.45 deg, 2.083 Å, I 48.8
- 52.00 deg, 1.759 Å, I 14.9
- 54.30 deg, 1.689 Å, I 37.5
- 55.05 deg, 1.668 Å, I 15.0
- 58.61 deg, 1.575 Å, I 18.4
- 70.67 deg, 1.333 Å, I 16.2
- 72.62 deg, 1.302 Å, I 16.8

Record 3
Pu2Pa2SiIr4: computed powder X-ray diffraction pattern (Cu Ka), based on DFT lattice parameters and positions (PBE).
Lines closer than 0.1° are merged.

Structure:
a b c (Å): 6.380 6.380 6.380
angles (deg): 122.37 122.37 85.94
Element x y z (fractional)
Pu 0.207 0.207 0.000
Pu 0.793 0.793 0.000
Pa 0.250 0.750 0.500
Pa 0.750 0.250 0.500
Si 0.500 0.500 0.000
Ir 0.237 0.237 0.474
Ir 0.237 0.763 0.000
Ir 0.763 0.237 0.000
Ir 0.763 0.763 0.526

Largest 12 diffraction maxima, low angle first, 2θ from 10° to 90°:
- 17.27 deg, 5.136 Å, I 5.5
- 32.24 deg, 2.777 Å, I 4.7
- 34.94 deg, 2.568 Å, I 100.0
- 38.57 deg, 2.334 Å, I 16.5
- 41.53 deg, 2.174 Å, I 36.1
- 43.94 deg, 2.060 Å, I 9.0
- 53.53 deg, 1.712 Å, I 3.8
- 57.97 deg, 1.591 Å, I 20.0
- 60.19 deg, 1.537 Å, I 12.1
- 67.45 deg, 1.388 Å, I 8.1
- 71.53 deg, 1.319 Å, I 24.7
- 73.80 deg, 1.284 Å, I 9.6

Record 4
AsBr2Cl: computed powder X-ray diffraction pattern (Cu Ka), based on DFT lattice parameters and positions (PBE).
Lines closer than 0.1° are merged.

Structure:
a b c (Å): 4.633 6.872 6.983
angles (deg): 117.70 108.30 90.23
Element x y z (fractional)
As 0.000 0.000 0.000
Br 0.115 0.927 0.311
Br 0.196 0.707 0.746
Cl 0.377 0.286 0.146

Largest 12 diffraction maxima, low angle first, 2θ from 10° to 90°:
- 14.80 deg, 5.987 Å, I 98.7
- 15.21 deg, 5.824 Å, I 74.5
- 15.34 deg, 5.776 Å, I 23.2
- 20.52 deg, 4.328 Å, I 100.0
- 23.11 deg, 3.849 Å, I 23.3
- 26.90 deg, 3.315 Å, I 40.5
- 27.50 deg, 3.243 Å, I 49.0
- 27.84 deg, 3.204 Å, I 68.4
- 30.70 deg, 2.912 Å, I 24.0
- 33.19 deg, 2.699 Å, I 31.3
- 44.10 deg, 2.054 Å, I 23.8
- 47.17 deg, 1.927 Å, I 28.8

Record 5
TbPr2DyTm4: computed powder X-ray diffraction pattern (Cu Ka), based on DFT lattice parameters and positions (PBE).
Lines closer than 0.1° are merged.

Structure:
a b c (Å): 7.163 9.936 7.165
angles (deg): 90.00 90.21 90.00
Element x y z (fractional)
Tb 0.000 0.000 0.000
Tb 0.000 0.500 0.500
Pr 0.000 0.000 0.500
Pr 0.500 0.000 0.000
Pr 0.500 0.000 0.500
Pr 0.500 0.500 0.500
Dy 0.000 0.500 0.000
Dy 0.500 0.500 0.000
Tm 0.248 0.253 0.248
Tm 0.248 0.253 0.753
Tm 0.248 0.747 0.248
Tm 0.248 0.747 0.753
Tm 0.752 0.253 0.247
Tm 0.752 0.253 0.752
Tm 0.752 0.747 0.247
Tm 0.752 0.747 0.752

Largest 12 diffraction maxima, low angle first, 2θ from 10° to 90°:
- 30.77 deg, 2.906 Å, I 100.0
- 35.37 deg, 2.538 Å, I 17.3
- 35.51 deg, 2.528 Å, I 17.1
- 36.16 deg, 2.484 Å, I 16.3
- 50.99 deg, 1.791 Å, I 12.3
- 51.48 deg, 1.775 Å, I 11.9
- 51.58 deg, 1.772 Å, I 11.8
- 60.65 deg, 1.527 Å, I 14.6
- 60.84 deg, 1.523 Å, I 14.4
- 61.71 deg, 1.503 Å, I 13.8
- 64.10 deg, 1.453 Å, I 12.3
- 83.21 deg, 1.161 Å, I 6.0

Record 6
CaTa4Cr: computed powder X-ray diffraction pattern (Cu Ka), based on DFT lattice parameters and positions (PBE).
Lines closer than 0.1° are merged.

Structure:
a b c (Å): 5.607 5.607 5.607
angles (deg): 60.00 60.00 60.00
Element x y z (fractional)
Ca 0.000 0.000 0.000
Ta 0.374 0.374 0.374
Ta 0.374 0.374 0.877
Ta 0.374 0.877 0.374
Ta 0.877 0.374 0.374
Cr 0.750 0.750 0.750

Largest 12 diffraction maxima, low angle first, 2θ from 10° to 90°:
- 19.39 deg, 4.578 Å, I 79.5
- 37.62 deg, 2.391 Å, I 100.0
- 39.36 deg, 2.289 Å, I 83.3
- 45.77 deg, 1.982 Å, I 31.0
- 50.15 deg, 1.819 Å, I 21.2
- 60.69 deg, 1.526 Å, I 32.8
- 66.73 deg, 1.402 Å, I 33.7
- 70.23 deg, 1.340 Å, I 15.9
- 79.22 deg, 1.209 Å, I 11.3
- 80.32 deg, 1.195 Å, I 32.2
- 84.69 deg, 1.144 Å, I 7.5
- 87.95 deg, 1.110 Å, I 9.3

Record 7
TbCeScPa: computed powder X-ray diffraction pattern (Cu Ka), based on DFT lattice parameters and positions (PBE).
Lines closer than 0.1° are merged.

Structure:
a b c (Å): 5.359 5.359 5.359
angles (deg): 60.00 60.00 60.00
Element x y z (fractional)
Tb 0.000 0.000 0.000
Ce 0.750 0.750 0.750
Sc 0.250 0.250 0.250
Pa 0.500 0.500 0.500

Largest 12 diffraction maxima, low angle first, 2θ from 10° to 90°:
- 20.30 deg, 4.375 Å, I 9.3
- 23.48 deg, 3.789 Å, I 14.5
- 33.44 deg, 2.679 Å, I 100.0
- 39.44 deg, 2.285 Å, I 5.5
- 41.27 deg, 2.188 Å, I 4.7
- 48.02 deg, 1.895 Å, I 18.2
- 54.12 deg, 1.695 Å, I 6.7
- 59.78 deg, 1.547 Å, I 37.9
- 70.26 deg, 1.340 Å, I 11.7
- 75.23 deg, 1.263 Å, I 3.3
- 80.09 deg, 1.198 Å, I 16.4
- 89.63 deg, 1.094 Å, I 4.3

Record 8
Ca2Ga2Rh: computed powder X-ray diffraction pattern (Cu Ka), based on DFT lattice parameters and positions (PBE).
Lines closer than 0.1° are merged.

Structure:
a b c (Å): 5.810 5.810 10.818
angles (deg): 115.89 115.89 44.64
Element x y z (fractional)
Ca 0.002 0.002 0.333
Ca 0.195 0.195 0.113
Ca 0.805 0.805 0.887
Ca 0.998 0.998 0.667
Ga 0.345 0.345 0.437
Ga 0.498 0.498 0.877
Ga 0.502 0.502 0.123
Ga 0.655 0.655 0.563
Rh 0.281 0.281 0.635
Rh 0.719 0.719 0.365

Largest 12 diffraction maxima, low angle first, 2θ from 10° to 90°:
- 16.50 deg, 5.373 Å, I 94.9
- 22.24 deg, 3.997 Å, I 49.7
- 31.94 deg, 2.802 Å, I 55.6
- 32.29 deg, 2.772 Å, I 40.0
- 32.43 deg, 2.761 Å, I 56.2
- 32.64 deg, 2.743 Å, I 30.4
- 35.51 deg, 2.528 Å, I 62.0
- 37.73 deg, 2.384 Å, I 47.3
- 38.94 deg, 2.313 Å, I 49.1
- 39.69 deg, 2.271 Å, I 100.0
- 40.90 deg, 2.206 Å, I 76.5
- 57.75 deg, 1.596 Å, I 34.9

Record 9
Si6Bi9O26: computed powder X-ray diffraction pattern (Cu Ka), based on DFT lattice parameters and positions (PBE).
Lines closer than 0.1° are merged.

Structure:
a b c (Å): 9.724 9.724 7.106
angles (deg): 90.00 90.00 120.00
Element x y z (fractional)
Si 0.024 0.630 0.000
Si 0.370 0.394 0.000
Si 0.403 0.027 0.483
Si 0.606 0.976 0.000
Si 0.624 0.597 0.483
Si 0.973 0.376 0.483
Bi 0.005 0.239 0.992
Bi 0.235 0.995 0.992
Bi 0.246 0.225 0.494
Bi 0.333 0.667 0.243
Bi 0.333 0.667 0.732
Bi 0.667 0.333 0.213
Bi 0.761 0.765 0.992
Bi 0.775 0.021 0.494
Bi 0.979 0.754 0.494
O 0.000 0.000 0.503
O 0.000 0.000 0.997
O 0.091 0.745 0.810
O 0.101 0.761 0.175
O 0.118 0.527 0.005
O 0.165 0.505 0.497
O 0.239 0.340 0.175
O 0.255 0.346 0.810
O 0.317 0.072 0.311
O 0.337 0.084 0.664
O 0.340 0.835 0.497
O 0.409 0.882 0.005
O 0.473 0.305 0.009
O 0.473 0.591 0.005
O 0.495 0.660 0.497
O 0.525 0.406 0.439
O 0.594 0.119 0.439
O 0.654 0.909 0.810
O 0.660 0.899 0.175
O 0.695 0.168 0.009
O 0.747 0.663 0.664
O 0.756 0.683 0.311
O 0.832 0.527 0.009
O 0.881 0.475 0.439
O 0.916 0.253 0.664
O 0.928 0.244 0.311

Largest 12 diffraction maxima, low angle first, 2θ from 10° to 90°:
- 21.10 deg, 4.211 Å, I 32.4
- 22.15 deg, 4.013 Å, I 40.5
- 27.24 deg, 3.274 Å, I 41.2
- 28.03 deg, 3.183 Å, I 37.8
- 30.78 deg, 2.905 Å, I 100.0
- 31.18 deg, 2.869 Å, I 45.8
- 31.88 deg, 2.807 Å, I 22.3
- 45.19 deg, 2.006 Å, I 23.7
- 47.87 deg, 1.900 Å, I 34.7
- 48.85 deg, 1.864 Å, I 19.0
- 49.60 deg, 1.838 Å, I 22.9
- 50.38 deg, 1.811 Å, I 30.9

Record 10
YZr3C: computed powder X-ray diffraction pattern (Cu Ka), based on DFT lattice parameters and positions (PBE).
Lines closer than 0.1° are merged.

Structure:
a b c (Å): 4.718 4.718 4.718
angles (deg): 90.00 90.00 90.00
Element x y z (fractional)
Y 0.000 0.000 0.000
Zr 0.000 0.500 0.500
Zr 0.500 0.000 0.500
Zr 0.500 0.500 0.000
C 0.500 0.500 0.500

Largest 7 diffraction maxima, low angle first, 2θ from 10° to 90°:
- 18.81 deg, 4.718 Å, I 0.6
- 32.88 deg, 2.724 Å, I 100.0
- 38.15 deg, 2.359 Å, I 55.5
- 55.06 deg, 1.668 Å, I 36.8
- 65.64 deg, 1.422 Å, I 38.9
- 68.95 deg, 1.362 Å, I 12.1
- 81.63 deg, 1.179 Å, I 5.6

Record 11
NaAgBi: computed powder X-ray diffraction pattern (Cu Ka), based on DFT lattice parameters and positions (PBE).
Lines closer than 0.1° are merged.

Structure:
a b c (Å): 5.472 5.472 5.472
angles (deg): 137.08 137.08 62.32
Element x y z (fractional)
Na 0.000 0.000 0.000
Ag 0.668 0.668 0.000
Bi 0.326 0.326 0.000

Largest 12 diffraction maxima, low angle first, 2θ from 10° to 90°:
- 18.95 deg, 4.683 Å, I 30.2
- 24.17 deg, 3.682 Å, I 55.1
- 31.60 deg, 2.832 Å, I 73.9
- 36.49 deg, 2.462 Å, I 100.0
- 37.10 deg, 2.423 Å, I 23.5
- 45.29 deg, 2.002 Å, I 27.4
- 51.99 deg, 1.759 Å, I 15.0
- 59.51 deg, 1.553 Å, I 47.8
- 68.66 deg, 1.367 Å, I 15.3
- 75.00 deg, 1.266 Å, I 12.2
- 77.54 deg, 1.231 Å, I 10.9
- 77.82 deg, 1.227 Å, I 11.0

Record 12
MgTlBi: computed powder X-ray diffraction pattern (Cu Ka), based on DFT lattice parameters and positions (PBE).
Lines closer than 0.1° are merged.

Structure:
a b c (Å): 3.635 10.632 5.803
angles (deg): 90.00 128.80 90.00
Element x y z (fractional)
Mg 0.000 0.085 0.000
Mg 0.000 0.915 0.500
Tl 0.005 0.407 0.003
Tl 0.005 0.593 0.503
Bi 0.002 0.203 0.501
Bi 0.002 0.797 0.001

Largest 12 diffraction maxima, low angle first, 2θ from 10° to 90°:
- 25.87 deg, 3.444 Å, I 71.8
- 29.77 deg, 3.001 Å, I 47.3
- 31.58 deg, 2.833 Å, I 100.0
- 32.09 deg, 2.789 Å, I 63.9
- 35.37 deg, 2.538 Å, I 49.4
- 39.87 deg, 2.261 Å, I 26.9
- 42.51 deg, 2.126 Å, I 17.2
- 50.54 deg, 1.806 Å, I 22.6
- 53.91 deg, 1.701 Å, I 35.0
- 54.34 deg, 1.688 Å, I 29.5
- 57.31 deg, 1.608 Å, I 15.7
- 60.82 deg, 1.523 Å, I 21.1